1.
Simulated X-ray diffraction stick pattern
Compound: K2Zr2O5
Radiation: Cu Kα (weighted mean of Kα1 and Kα2)
Structure: a GGA-PBE-relaxed structure

Crystal structure
a = 5.9294 Å, b = 10.9119 Å, c = 8.8863 Å
α = 90.00°, β = 90.00°, γ = 90.00°
Space group Pnna (No. 52)
One atom of each set of equivalent atoms:
K: 0.0637 0.1661 0.0780 (multiplicity 8)
Zr: 0.0318 0.0766 0.6597 (multiplicity 8)
O: 0.0073 0.7500 0.2500 (multiplicity 4)
O: 0.1274 0.6069 0.9499 (multiplicity 8)
O: 0.2500 0.0000 0.2447 (multiplicity 4)
O: 0.2500 0.0000 0.8230 (multiplicity 4)

Most intense lines, 2θ from 10° to 80°, in order of falling intensity:
- (1 2 2), d = 2.979 Å, I 100
- (0 1 1), d = 6.890 Å, I 60
- (1 3 1), d = 2.927 Å, I 50
- (2 0 0), d = 2.965 Å, I 35
- (2 1 3), d = 2.058 Å, I 33
- (0 1 3), d = 2.859 Å, I 31
- (0 2 0), d = 5.456 Å, I 30
- (1 1 1), d = 4.494 Å, I 26
- (1 5 1), d = 1.996 Å, I 22
- (1 4 4), d = 1.654 Å, I 20



2.
Simulated X-ray diffraction stick pattern
Compound: K4Zr5O12
Radiation: Cu Kα (weighted mean of Kα1 and Kα2)
Structure: a GGA-PBE-relaxed structure

Crystal structure
a = 5.9018 Å, b = 5.9018 Å, c = 10.5993 Å
α = 90.00°, β = 90.00°, γ = 120.00°
Space group P-3m1 (No. 164)
One atom of each set of equivalent atoms:
K: 0.0000 0.0000 0.1793 (multiplicity 2)
K: 0.3333 0.6667 0.3881 (multiplicity 2)
Zr: 0.0000 0.0000 0.5000 (multiplicity 1)
Zr: 0.3333 0.6667 0.0242 (multiplicity 2)
Zr: 0.3333 0.6667 0.7169 (multiplicity 2)
O: 0.0193 0.5096 0.8776 (multiplicity 6)
O: 0.1650 0.3301 0.6213 (multiplicity 6)

Most intense lines, 2θ from 10° to 80°, in order of falling intensity:
- (1 1 0), d = 2.951 Å, I 100
- (1 0 3), d = 2.906 Å, I 87
- (0 1 1), d = 4.604 Å, I 63
- (0 2 3), d = 2.071 Å, I 63
- (2 1 3), d = 1.695 Å, I 36
- (1 1 4), d = 1.972 Å, I 23
- (2 2 0), d = 1.475 Å, I 22
- (3 0 0), d = 1.704 Å, I 19
- (2 0 6), d = 1.453 Å, I 18
- (1 3 3), d = 1.316 Å, I 14



3.
Simulated X-ray diffraction stick pattern
Compound: K8ZrO6
Radiation: Cu Kα (weighted mean of Kα1 and Kα2)
Structure: a GGA-PBE-relaxed structure

Crystal structure
a = 7.6610 Å, b = 8.0779 Å, c = 10.8557 Å
α = 90.00°, β = 90.00°, γ = 90.00°
Space group Pmn2_1 (No. 31)
One atom of each set of equivalent atoms:
K: 0.0000 0.1671 0.0000 (multiplicity 2)
K: 0.0000 0.1755 0.4599 (multiplicity 2)
K: 0.1976 0.6622 0.1099 (multiplicity 4)
K: 0.2057 0.5956 0.7954 (multiplicity 4)
K: 0.2205 0.9728 0.7593 (multiplicity 4)
Zr: 0.0000 0.7057 0.4624 (multiplicity 2)
O: 0.0000 0.2398 0.2352 (multiplicity 2)
O: 0.0000 0.4904 0.5606 (multiplicity 2)
O: 0.0000 0.7948 0.9364 (multiplicity 2)
O: 0.0000 0.8991 0.5778 (multiplicity 2)
O: 0.2106 0.7191 0.3530 (multiplicity 4)

Most intense lines, 2θ from 10° to 80°, in order of falling intensity:
- (2 0 2), d = 3.130 Å, I 100
- (0 1 3), d = 3.300 Å, I 73
- (0 2 3), d = 2.694 Å, I 46
- (0 2 2), d = 3.240 Å, I 43
- (1 0 1), d = 6.259 Å, I 38
- (2 2 4), d = 1.942 Å, I 30
- (1 2 0), d = 3.573 Å, I 27
- (2 0 4), d = 2.214 Å, I 22
- (2 2 0), d = 2.779 Å, I 22
- (1 1 0), d = 5.559 Å, I 22



4.
Simulated X-ray diffraction stick pattern
Compound: KOs4
Radiation: Cu Kα (weighted mean of Kα1 and Kα2)
Structure: a GGA-PBE-relaxed structure

Crystal structure
a = 5.6876 Å, b = 5.6876 Å, c = 5.6876 Å
α = 90.00°, β = 90.00°, γ = 90.00°
Space group Im-3m (No. 229)
One atom of each set of equivalent atoms:
K: 0.0000 0.0000 0.0000 (multiplicity 2)
Os: 0.2500 0.2500 0.2500 (multiplicity 8)

Most intense lines, 2θ from 10° to 80°, in order of falling intensity:
- (2 0 0), d = 2.844 Å, I 100
- (2 2 0), d = 2.011 Å, I 93
- (4 2 0), d = 1.272 Å, I 35
- (2 2 2), d = 1.642 Å, I 27
- (4 0 0), d = 1.422 Å, I 15
- (1 1 0), d = 4.022 Å, I 2
- (2 1 1), d = 2.322 Å, I 1



5.
Simulated X-ray diffraction stick pattern
Compound: K2RbOs
Radiation: Cu Kα (weighted mean of Kα1 and Kα2)
Structure: a GGA-PBE-relaxed structure

Crystal structure
a = 8.3784 Å, b = 8.3784 Å, c = 8.3784 Å
α = 90.00°, β = 90.00°, γ = 90.00°
Space group Fm-3m (No. 225)
One atom of each set of equivalent atoms:
K: 0.2500 0.2500 0.2500 (multiplicity 8)
Rb: 0.0000 0.0000 0.0000 (multiplicity 4)
Os: 0.0000 0.0000 0.5000 (multiplicity 4)

Most intense lines, 2θ from 10° to 80°, in order of falling intensity:
- (2 2 0), d = 2.962 Å, I 100
- (4 2 2), d = 1.710 Å, I 38
- (2 0 0), d = 4.189 Å, I 33
- (4 0 0), d = 2.095 Å, I 18
- (1 1 1), d = 4.837 Å, I 17
- (4 2 0), d = 1.873 Å, I 16
- (6 2 0), d = 1.325 Å, I 16
- (4 4 0), d = 1.481 Å, I 12
- (2 2 2), d = 2.419 Å, I 11
- (3 1 1), d = 2.526 Å, I 10



6.
Simulated X-ray diffraction stick pattern
Compound: K2RbVOs
Radiation: Cu Kα (weighted mean of Kα1 and Kα2)
Structure: a GGA-PBE-relaxed structure

Crystal structure
a = 6.3362 Å, b = 6.3362 Å, c = 6.4534 Å
α = 90.00°, β = 90.00°, γ = 90.00°
Space group P4/mmm (No. 123)
One atom of each set of equivalent atoms:
K: 0.0000 0.5000 0.0000 (multiplicity 2)
Rb: 0.0000 0.0000 0.5000 (multiplicity 1)
V: 0.0000 0.0000 0.0000 (multiplicity 1)
Os: 0.5000 0.5000 0.5000 (multiplicity 1)

Most intense lines, 2θ from 10° to 80°, in order of falling intensity:
- (1 1 1), d = 3.680 Å, I 100
- (2 0 0), d = 3.168 Å, I 61
- (1 1 0), d = 4.480 Å, I 49
- (2 0 2), d = 2.261 Å, I 47
- (1 0 1), d = 4.521 Å, I 40
- (0 0 2), d = 3.227 Å, I 32
- (3 1 1), d = 1.914 Å, I 32
- (1 1 2), d = 2.618 Å, I 26
- (2 2 2), d = 1.840 Å, I 24
- (2 2 0), d = 2.240 Å, I 23



7.
Simulated X-ray diffraction stick pattern
Compound: KRe4Os
Radiation: Cu Kα (weighted mean of Kα1 and Kα2)
Structure: a GGA-PBE-relaxed structure

Crystal structure
a = 7.4512 Å, b = 7.4512 Å, c = 7.4512 Å
α = 90.00°, β = 90.00°, γ = 90.00°
Space group F-43m (No. 216)
One atom of each set of equivalent atoms:
K: 0.0000 0.0000 0.0000 (multiplicity 4)
Re: 0.1256 0.1256 0.3744 (multiplicity 16)
Os: 0.2500 0.2500 0.7500 (multiplicity 4)

Most intense lines, 2θ from 10° to 80°, in order of falling intensity:
- (3 1 1), d = 2.247 Å, I 100
- (2 2 2), d = 2.151 Å, I 57
- (5 1 1), d = 1.434 Å, I 33
- (1 1 1), d = 4.302 Å, I 32
- (4 4 0), d = 1.317 Å, I 29
- (2 2 0), d = 2.634 Å, I 14
- (4 0 0), d = 1.863 Å, I 13
- (3 3 1), d = 1.709 Å, I 9
- (2 0 0), d = 3.726 Å, I 7
- (5 3 1), d = 1.259 Å, I 6



8.
Simulated X-ray diffraction stick pattern
Compound: KOsRh2
Radiation: Cu Kα (weighted mean of Kα1 and Kα2)
Structure: a GGA-PBE-relaxed structure

Crystal structure
a = 2.8304 Å, b = 2.8304 Å, c = 8.9505 Å
α = 90.00°, β = 90.00°, γ = 90.00°
Space group P4/mmm (No. 123)
One atom of each set of equivalent atoms:
K: 0.0000 0.0000 0.0000 (multiplicity 1)
Os: 0.0000 0.0000 0.5000 (multiplicity 1)
Rh: 0.5000 0.5000 0.3059 (multiplicity 2)

Most intense lines, 2θ from 10° to 80°, in order of falling intensity:
- (1 0 2), d = 2.392 Å, I 100
- (1 0 3), d = 2.053 Å, I 47
- (1 1 0), d = 2.001 Å, I 37
- (2 1 2), d = 1.218 Å, I 23
- (1 1 1), d = 1.953 Å, I 18
- (0 0 6), d = 1.492 Å, I 14
- (1 1 5), d = 1.334 Å, I 13
- (2 0 0), d = 1.415 Å, I 12
- (1 0 4), d = 1.755 Å, I 9
- (0 0 4), d = 2.238 Å, I 9